# BaPmRhO6
Simulated powder diffraction line list, CuKα. Input: a PBE-relaxed structure.

Top 10 peaks for 10 to 90 degrees two-theta, sorted by position:
- d 5.596, I 15.7
- d 3.708, I 100.0
- d 2.858, I 42.1
- d 2.798, I 10.4
- d 2.264, I 24.3
- d 1.999, I 45.1
- d 1.775, I 24.4
- d 1.746, I 10.8
- d 1.650, I 13.5
- d 1.421, I 10.1

Structural model:
```
data_BaPmRhO6
_cell_length_a 5.7166
_cell_length_b 5.7166
_cell_length_c 5.5961
_cell_angle_alpha 90.00
_cell_angle_beta 90.00
_cell_angle_gamma 120.00
_space_group_name_H-M_alt 'P 3 1 2'
_space_group_IT_number 149
_space_group_name_Hall 'P 3 2'
loop_
_atom_site_label
_atom_site_fract_x
_atom_site_fract_y
_atom_site_fract_z
Ba1 0.0000 0.0000 0.0000
Pm1 0.3333 0.6667 0.5000
Rh1 0.6667 0.3333 0.5000
O1 0.3948 0.0488 0.6991
```

# Ba2PmSb2O6
Simulated powder diffraction line list, CuKα. Input: a PBE-relaxed structure.

Top 10 peaks for 10 to 90 degrees two-theta, sorted by position:
- d 4.641, I 23.1
- d 3.615, I 26.5
- d 3.539, I 94.1
- d 3.137, I 83.0
- d 3.039, I 31.2
- d 3.018, I 100.0
- d 2.723, I 22.3
- d 2.306, I 36.0
- d 1.956, I 21.1
- d 1.927, I 33.0

Structural model:
```
data_Ba2PmSb2O6
_cell_length_a 10.5133
_cell_length_b 7.0787
_cell_length_c 6.7667
_cell_angle_alpha 90.00
_cell_angle_beta 118.00
_cell_angle_gamma 90.00
_space_group_name_H-M_alt 'C 1 2/m 1'
_space_group_IT_number 12
_space_group_name_Hall '-C 2y'
loop_
_atom_site_label
_atom_site_fract_x
_atom_site_fract_y
_atom_site_fract_z
Ba1 0.1853 0.0000 0.1624
Pm1 0.0000 0.0000 0.5000
Sb1 0.0333 0.5000 0.2415
O1 0.0172 0.2058 0.7840
O2 0.2457 0.5000 0.3816
```

What did the second record say?
# Ba2PmSb2O6
Simulated powder diffraction line list, CuKα. Input: a PBE-relaxed structure.

Top 10 peaks for 10 to 90 degrees two-theta, sorted by position:
- d 4.641, I 23.1
- d 3.615, I 26.5
- d 3.539, I 94.1
- d 3.137, I 83.0
- d 3.039, I 31.2
- d 3.018, I 100.0
- d 2.723, I 22.3
- d 2.306, I 36.0
- d 1.956, I 21.1
- d 1.927, I 33.0

Structural model:
```
data_Ba2PmSb2O6
_cell_length_a 10.5133
_cell_length_b 7.0787
_cell_length_c 6.7667
_cell_angle_alpha 90.00
_cell_angle_beta 118.00
_cell_angle_gamma 90.00
_space_group_name_H-M_alt 'C 1 2/m 1'
_space_group_IT_number 12
_space_group_name_Hall '-C 2y'
loop_
_atom_site_label
_atom_site_fract_x
_atom_site_fract_y
_atom_site_fract_z
Ba1 0.1853 0.0000 0.1624
Pm1 0.0000 0.0000 0.5000
Sb1 0.0333 0.5000 0.2415
O1 0.0172 0.2058 0.7840
O2 0.2457 0.5000 0.3816
```

What is the formula in the first record?
BaPmRhO6